For Li2FeSiO5, a crystal structure in the Materials Project, relaxed with PBE+U gives the theoretical powder XRD pattern in this record (Cu Kα X-rays).

Structure:
```
data_Li2FeSiO5
_cell_length_a 9.074
_cell_length_b 4.550
_cell_length_c 9.155
_cell_angle_alpha 90.00
_cell_angle_beta 90.00
_cell_angle_gamma 90.00
_symmetry_space_group_name_H-M 'P m c 21'
_symmetry_Int_Tables_number 26
loop_
_symmetry_equiv_pos_as_xyz
'x,y,z'
'-x,-y,z+1/2'
'-x,y,z'
'x,-y,z+1/2'
loop_
_atom_site_label
_atom_site_type_symbol
_atom_site_fract_x
_atom_site_fract_y
_atom_site_fract_z
Li1 Li 0.000 0.013 0.000
Li2 Li 0.262 0.003 0.256
Li3 Li 0.500 0.392 0.757
Fe1 Fe 0.000 0.400 0.259
Fe2 Fe 0.500 0.034 0.477
Si1 Si 0.249 0.499 0.508
O1 O 0.000 0.215 0.764
O2 O 0.146 0.289 0.403
O3 O 0.146 0.293 0.115
O4 O 0.347 0.262 0.917
O5 O 0.351 0.262 0.597
O6 O 0.500 0.188 0.293
```

Principal peaks in the range 2θ from 5° to 70°, in order of rising 2θ:
hkl 1 0 2, 2θ = 21.75°, intensity 82; hkl 1 1 0, 2θ = 21.85°, intensity 64; hkl 1 1 1, 2θ = 23.94°, intensity 25; hkl 2 0 2, 2θ = 27.68°, intensity 37; hkl 2 1 2, 2θ = 34.09°, intensity 100; hkl 3 0 2, 2θ = 35.60°, intensity 26; hkl 3 1 3, 2θ = 46.76°, intensity 21; hkl 4 0 4, 2θ = 57.14°, intensity 40